Structure and computed X-ray diffraction stick pattern of BaBN2 (a structure optimized by DFT (GGA-PBE); Cu Ka).
Peak positions follow from Bragg's law for the DFT cell and can differ from measured ones.

Cell and atoms:
a b c (Å): 6.6419 3.9423 5.3484
angles (deg): 90.00 90.00 90.00
Space group Pmma (No. 51)
One atom of each set of equivalent atoms:
Ba 0.2500 0.0000 0.2493
B 0.2500 0.5000 0.7577
N 0.0479 0.5000 0.7576

Largest 6 diffraction maxima, low angle first, 5 to 70 degrees two-theta:
d (Å), I (rel.), (hkl)
4.166, 75, 1 0 1
3.321, 23, 2 0 0
2.863, 100, 1 1 1
2.674, 26, 0 0 2
2.540, 35, 2 1 0
1.842, 25, 2 1 2